# TmHfNp2N4
Simulated XRD peak list, CuKα. Input: DFT lattice parameters and positions (PBE).
Intensities are scaled so that the largest is 100.

Structure:
Unit cell a=5.808 b=3.345 c=5.898 alpha=90.00 beta=109.07 gamma=90.00
Element x y z (fractional)
Tm 0.000 0.000 0.000
Hf 0.500 0.500 0.000
Np 0.000 0.500 0.500
Np 0.500 0.000 0.500
N 0.260 0.500 0.241
N 0.267 0.000 0.767
N 0.733 0.000 0.233
N 0.740 0.500 0.759

Most intense lines, 5° ≤ 2θ ≤ 70°, by angle:
| two_theta | Rel. int. |
| --- | --- |
| 32.12 | 35 |
| 32.68 | 100 |
| 37.75 | 89 |
| 54.01 | 11 |
| 54.12 | 21 |
| 54.78 | 20 |
| 54.90 | 10 |
| 64.30 | 15 |
| 64.94 | 20 |
| 68.55 | 10 |

---

# La15Sm4Tl
Simulated XRD peak list, CuKα. Input: DFT lattice parameters and positions (PBE).
Intensities are scaled so that the largest is 100.

Structure:
Unit cell a=5.192 b=5.192 c=26.180 alpha=90.00 beta=90.00 gamma=90.00
Element x y z (fractional)
La 0.000 0.000 0.000
La 0.000 0.000 0.199
La 0.000 0.000 0.399
La 0.000 0.000 0.601
La 0.000 0.000 0.801
La 0.000 0.500 0.097
La 0.000 0.500 0.298
La 0.000 0.500 0.500
La 0.000 0.500 0.702
La 0.000 0.500 0.903
La 0.500 0.000 0.097
La 0.500 0.000 0.298
La 0.500 0.000 0.500
La 0.500 0.000 0.702
La 0.500 0.000 0.903
Sm 0.500 0.500 0.197
Sm 0.500 0.500 0.400
Sm 0.500 0.500 0.600
Sm 0.500 0.500 0.803
Tl 0.500 0.500 0.000

Most intense lines, 5° ≤ 2θ ≤ 70°, by angle:
| two_theta | Rel. int. |
| --- | --- |
| 29.72 | 100 |
| 34.25 | 17 |
| 34.55 | 34 |
| 49.44 | 24 |
| 49.66 | 12 |
| 58.56 | 14 |
| 58.95 | 29 |
| 61.72 | 12 |

---

# K4Cr3Cl10
Simulated XRD peak list, CuKα. Input: DFT lattice parameters and positions (PBE).
Intensities are scaled so that the largest is 100.

Structure:
Unit cell a=18.002 b=18.002 c=18.002 alpha=164.08 beta=164.08 gamma=22.59
Element x y z (fractional)
K 0.069 0.069 0.000
K 0.200 0.200 0.000
K 0.800 0.800 0.000
K 0.931 0.931 0.000
Cr 0.359 0.359 0.000
Cr 0.500 0.500 0.000
Cr 0.641 0.641 0.000
Cl 0.000 0.500 0.500
Cl 0.140 0.640 0.500
Cl 0.290 0.290 0.000
Cl 0.360 0.860 0.500
Cl 0.429 0.429 0.000
Cl 0.500 0.000 0.500
Cl 0.571 0.571 0.000
Cl 0.640 0.140 0.500
Cl 0.710 0.710 0.000
Cl 0.860 0.360 0.500

Most intense lines, 5° ≤ 2θ ≤ 70°, by angle:
| two_theta | Rel. int. |
| --- | --- |
| 5.01 | 23 |
| 17.97 | 30 |
| 25.11 | 31 |
| 25.26 | 36 |
| 32.51 | 46 |
| 35.60 | 41 |
| 36.03 | 100 |
| 51.55 | 49 |
| 51.86 | 31 |
| 64.49 | 23 |

---

# Tb7Nd2Dy
Simulated XRD peak list, CuKα. Input: DFT lattice parameters and positions (PBE).
Intensities are scaled so that the largest is 100.

Structure:
Unit cell a=6.206 b=7.159 c=8.005 alpha=77.14 beta=75.06 gamma=73.20
Element x y z (fractional)
Tb 0.000 0.000 0.000
Tb 0.200 0.800 0.601
Tb 0.399 0.101 0.198
Tb 0.399 0.601 0.198
Tb 0.601 0.399 0.802
Tb 0.601 0.899 0.802
Tb 0.800 0.200 0.399
Nd 0.201 0.299 0.601
Nd 0.799 0.701 0.399
Dy 0.000 0.500 0.000

Most intense lines, 5° ≤ 2θ ≤ 70°, by angle:
| two_theta | Rel. int. |
| --- | --- |
| 30.58 | 100 |
| 35.45 | 51 |
| 51.01 | 36 |
| 60.64 | 39 |
| 60.71 | 4 |
| 63.65 | 12 |

---

# CaSm3Zn8
Simulated XRD peak list, CuKα. Input: DFT lattice parameters and positions (PBE).
Intensities are scaled so that the largest is 100.

Structure:
Unit cell a=5.630 b=5.630 c=8.751 alpha=90.00 beta=90.00 gamma=120.00
Element x y z (fractional)
Ca 0.000 0.000 0.000
Sm 0.000 0.000 0.387
Sm 0.667 0.333 0.493
Sm 0.667 0.333 0.883
Zn 0.002 0.501 0.190
Zn 0.168 0.335 0.690
Zn 0.168 0.832 0.690
Zn 0.333 0.667 0.438
Zn 0.333 0.667 0.938
Zn 0.499 0.501 0.190
Zn 0.499 0.998 0.190
Zn 0.665 0.832 0.690

Most intense lines, 5° ≤ 2θ ≤ 70°, by angle:
| two_theta | Rel. int. |
| --- | --- |
| 31.79 | 44 |
| 35.87 | 64 |
| 36.87 | 13 |
| 38.01 | 100 |
| 38.33 | 60 |
| 41.27 | 13 |
| 59.31 | 30 |
| 60.79 | 25 |
| 65.67 | 27 |
| 66.42 | 23 |

---

> Which formula does entry 2 have?

La15Sm4Tl